1.
Starting from the PBE geometry in Alexandria, the X-ray powder pattern of HoNi4Ge12 was simulated for Cu Kα (weighted mean of Kα1 and Kα2).
Kinematic intensities with the Lorentz-polarization factor, no thermal factor.

Cell and atoms:
Unit cell a=7.270 b=7.270 c=7.270 alpha=109.47 beta=109.47 gamma=109.47
Atoms (fractional coordinates):
1 Ho 0.000 0.000 0.000
2 Ni 0.000 0.000 0.500
3 Ni 0.000 0.500 0.000
4 Ni 0.500 0.000 0.000
5 Ni 0.500 0.500 0.500
6 Ge 0.161 0.507 0.346
7 Ge 0.161 0.815 0.654
8 Ge 0.185 0.346 0.839
9 Ge 0.346 0.161 0.507
10 Ge 0.346 0.839 0.185
11 Ge 0.493 0.654 0.839
12 Ge 0.507 0.346 0.161
13 Ge 0.654 0.161 0.815
14 Ge 0.654 0.839 0.493
15 Ge 0.815 0.654 0.161
16 Ge 0.839 0.185 0.346
17 Ge 0.839 0.493 0.654

Principal peaks in the range 15° ≤ 2θ ≤ 90°, sorted by position:
2.968 Å, rel. 11; 2.655 Å, rel. 100; 2.244 Å, rel. 52; 1.877 Å, rel. 13; 1.714 Å, rel. 33; 1.646 Å, rel. 33; 1.440 Å, rel. 9; 1.399 Å, rel. 8; 1.238 Å, rel. 16; 1.102 Å, rel. 9

---

2.
Starting from the PBE geometry in Alexandria, the X-ray powder pattern of Ho3Ni9Ge2 was simulated for Cu Kα (weighted mean of Kα1 and Kα2).
Kinematic intensities with the Lorentz-polarization factor, no thermal factor.

Cell and atoms:
Unit cell a=7.661 b=7.661 c=7.661 alpha=149.94 beta=109.15 gamma=78.84
Atoms (fractional coordinates):
1 Ho 0.000 0.000 0.000
2 Ho 0.307 0.307 0.000
3 Ho 0.693 0.693 0.000
4 Ni 0.036 0.678 0.357
5 Ni 0.160 0.882 0.278
6 Ni 0.321 0.678 0.643
7 Ni 0.396 0.118 0.278
8 Ni 0.500 0.000 0.500
9 Ni 0.604 0.882 0.722
10 Ni 0.679 0.322 0.357
11 Ni 0.840 0.118 0.722
12 Ni 0.964 0.322 0.643
13 Ge 0.277 0.500 0.777
14 Ge 0.723 0.500 0.223

Principal peaks in the range 15° ≤ 2θ ≤ 90°, sorted by position:
2.800 Å, rel. 20; 2.370 Å, rel. 100; 2.368 Å, rel. 22; 2.203 Å, rel. 12; 2.034 Å, rel. 17; 1.987 Å, rel. 27; 1.849 Å, rel. 11; 1.522 Å, rel. 11; 1.309 Å, rel. 12; 1.209 Å, rel. 12

---

3.
Starting from the PBE geometry in Alexandria, the X-ray powder pattern of HoZnNiGe2 was simulated for Cu Kα (weighted mean of Kα1 and Kα2).
Kinematic intensities with the Lorentz-polarization factor, no thermal factor.

Cell and atoms:
Unit cell a=5.555 b=5.560 c=5.613 alpha=90.00 beta=90.00 gamma=90.00
Atoms (fractional coordinates):
1 Ho 0.250 0.000 0.231
2 Ho 0.750 0.000 0.769
3 Zn 0.250 0.500 0.370
4 Zn 0.750 0.500 0.630
5 Ni 0.000 0.500 0.000
6 Ni 0.500 0.500 0.000
7 Ge 0.250 0.235 0.746
8 Ge 0.250 0.765 0.746
9 Ge 0.750 0.235 0.254
10 Ge 0.750 0.765 0.254

Principal peaks in the range 15° ≤ 2θ ≤ 90°, sorted by position:
3.219 Å, rel. 16; 2.806 Å, rel. 19; 2.778 Å, rel. 37; 2.505 Å, rel. 24; 2.486 Å, rel. 18; 2.273 Å, rel. 100; 1.974 Å, rel. 32; 1.495 Å, rel. 12; 1.486 Å, rel. 26; 1.389 Å, rel. 13

---

4.
Starting from the PBE geometry in Alexandria, the X-ray powder pattern of Ho2NpGe2Rh5 was simulated for Cu Kα (weighted mean of Kα1 and Kα2).
Kinematic intensities with the Lorentz-polarization factor, no thermal factor.

Cell and atoms:
Unit cell a=9.818 b=9.818 c=3.720 alpha=90.00 beta=90.00 gamma=90.00
Atoms (fractional coordinates):
1 Ho 0.171 0.329 0.000
2 Ho 0.329 0.829 0.000
3 Ho 0.671 0.171 0.000
4 Ho 0.829 0.671 0.000
5 Np 0.000 0.000 0.000
6 Np 0.500 0.500 0.000
7 Ge 0.126 0.626 0.000
8 Ge 0.374 0.126 0.000
9 Ge 0.626 0.874 0.000
10 Ge 0.874 0.374 0.000
11 Rh 0.000 0.500 0.500
12 Rh 0.068 0.790 0.500
13 Rh 0.210 0.068 0.500
14 Rh 0.290 0.568 0.500
15 Rh 0.432 0.290 0.500
16 Rh 0.500 0.000 0.500
17 Rh 0.568 0.710 0.500
18 Rh 0.710 0.432 0.500
19 Rh 0.790 0.932 0.500
20 Rh 0.932 0.210 0.500

Principal peaks in the range 15° ≤ 2θ ≤ 90°, sorted by position:
3.105 Å, rel. 9; 2.838 Å, rel. 16; 2.538 Å, rel. 21; 2.383 Å, rel. 100; 2.196 Å, rel. 32; 1.860 Å, rel. 15; 1.498 Å, rel. 8; 1.466 Å, rel. 10; 1.419 Å, rel. 15; 1.152 Å, rel. 8

---

5.
Starting from the PBE geometry in Alexandria, the X-ray powder pattern of Ho4Ge2O was simulated for Cu Kα (weighted mean of Kα1 and Kα2).
Kinematic intensities with the Lorentz-polarization factor, no thermal factor.

Cell and atoms:
Unit cell a=8.449 b=8.449 c=8.449 alpha=149.35 beta=149.35 gamma=43.89
Atoms (fractional coordinates):
1 Ho 0.000 0.500 0.500
2 Ho 0.177 0.177 0.000
3 Ho 0.500 0.000 0.500
4 Ho 0.823 0.823 0.000
5 Ge 0.363 0.363 0.000
6 Ge 0.637 0.637 0.000
7 O 0.000 0.000 0.000

Principal peaks in the range 15° ≤ 2θ ≤ 90°, sorted by position:
2.929 Å, rel. 100; 2.612 Å, rel. 33; 2.566 Å, rel. 26; 2.459 Å, rel. 63; 2.233 Å, rel. 56; 1.697 Å, rel. 36; 1.579 Å, rel. 19; 1.390 Å, rel. 21; 1.351 Å, rel. 17; 1.329 Å, rel. 18

---

6.
Starting from the PBE geometry in Alexandria, the X-ray powder pattern of Ho3GeO7 was simulated for Cu Kα (weighted mean of Kα1 and Kα2).
Kinematic intensities with the Lorentz-polarization factor, no thermal factor.

Cell and atoms:
Unit cell a=6.375 b=6.375 c=7.315 alpha=90.00 beta=90.00 gamma=109.43
Atoms (fractional coordinates):
1 Ho 0.028 0.028 0.000
2 Ho 0.038 0.496 0.255
3 Ho 0.496 0.038 0.745
4 Ho 0.504 0.962 0.245
5 Ho 0.962 0.504 0.755
6 Ho 0.972 0.972 0.500
7 Ge 0.497 0.497 0.000
8 Ge 0.503 0.503 0.500
9 O 0.130 0.870 0.750
10 O 0.135 0.865 0.250
11 O 0.180 0.424 0.973
12 O 0.191 0.437 0.535
13 O 0.424 0.180 0.027
14 O 0.433 0.567 0.250
15 O 0.437 0.191 0.465
16 O 0.563 0.809 0.965
17 O 0.567 0.433 0.750
18 O 0.576 0.820 0.527
19 O 0.809 0.563 0.035
20 O 0.820 0.576 0.473
21 O 0.865 0.135 0.750
22 O 0.870 0.130 0.250

Principal peaks in the range 15° ≤ 2θ ≤ 90°, sorted by position:
3.006 Å, rel. 100; 2.992 Å, rel. 100; 2.597 Å, rel. 66; 1.841 Å, rel. 12; 1.837 Å, rel. 54; 1.829 Å, rel. 17; 1.568 Å, rel. 44; 1.562 Å, rel. 28; 1.496 Å, rel. 9; 1.191 Å, rel. 8

---

7.
Starting from the PBE geometry in Alexandria, the X-ray powder pattern of Ho2GeO was simulated for Cu Kα (weighted mean of Kα1 and Kα2).
Kinematic intensities with the Lorentz-polarization factor, no thermal factor.

Cell and atoms:
Unit cell a=4.355 b=4.375 c=8.458 alpha=90.00 beta=90.00 gamma=90.00
Atoms (fractional coordinates):
1 Ho 0.250 0.250 0.002
2 Ho 0.250 0.750 0.347
3 Ho 0.750 0.250 0.653
4 Ho 0.750 0.750 0.998
5 Ge 0.250 0.750 0.702
6 Ge 0.750 0.250 0.298
7 O 0.250 0.750 0.080
8 O 0.750 0.250 0.920

Principal peaks in the range 15° ≤ 2θ ≤ 90°, sorted by position:
2.899 Å, rel. 100; 2.819 Å, rel. 49; 2.493 Å, rel. 71; 2.187 Å, rel. 29; 2.177 Å, rel. 28; 1.744 Å, rel. 23; 1.728 Å, rel. 23; 1.723 Å, rel. 23; 1.543 Å, rel. 19; 1.354 Å, rel. 20